This entry pairs a crystal structure of Tm8Ga3Te4Pt with its calculated XRD peak list. Radiation: Cu Kα (weighted mean of Kα1 and Kα2). Structure: a structure optimized by DFT (GGA-PBE).
Lines closer than 0.1° are merged.

```
Tm8Ga3Te4Pt
1.0
4.0906 2.3617 7.3302
-4.0906 2.3617 7.3302
0.0000 -4.7234 7.3302
Tm Ga Te Pt
8 3 4 1
Direct
0.2446 0.2446 0.2446 Tm
0.2458 0.7389 0.7389 Tm
0.2611 0.2611 0.7542 Tm
0.2611 0.7542 0.2611 Tm
0.7389 0.2458 0.7389 Tm
0.7389 0.7389 0.2458 Tm
0.7542 0.2611 0.2611 Tm
0.7554 0.7554 0.7554 Tm
0.0000 0.0000 0.5000 Ga
0.0000 0.5000 0.0000 Ga
0.5000 0.0000 0.0000 Ga
0.0000 0.0000 0.0000 Te
0.0000 0.5000 0.5000 Te
0.5000 0.0000 0.5000 Te
0.5000 0.5000 0.0000 Te
0.5000 0.5000 0.5000 Pt
```

Top 6 peaks for 10 to 90 degrees two-theta, most intense first:
- 30.0 deg, rel. 100.0
- 41.6 deg, rel. 38.4
- 44.3 deg, rel. 35.4
- 54.4 deg, rel. 18.8
- 72.7 deg, rel. 15.8
- 68.8 deg, rel. 15.2